Diffraction record for Ca5Sn4S13. The X-ray diffraction stick pattern is simulated, not measured: it uses a PBE-relaxed structure and Cu Kα (weighted mean of Kα1 and Kα2).
Intensities are scaled so that the largest is 100.

Principal peaks in the range 2θ = 10–90°, by angle:
- 5.399 Å, 2θ 16.4, I 58
- 4.991 Å, 2θ 17.8, I 76
- 3.553 Å, 2θ 25.1, I 70
- 3.471 Å, 2θ 25.7, I 76
- 2.512 Å, 2θ 35.7, I 100
- 2.267 Å, 2θ 39.8, I 53
- 2.035 Å, 2θ 44.5, I 37
- 1.777 Å, 2θ 51.4, I 33
- 1.735 Å, 2θ 52.7, I 29
- 1.683 Å, 2θ 54.5, I 42

Atomic structure:
```
data_Ca5Sn4S13
_space_group_name_H-M_alt 'I 4/m m m'
_space_group_IT_number 139
_space_group_name_Hall '-I 4 2'
_cell_length_a 5.0250
_cell_length_b 5.0250
_cell_length_c 43.1947
_cell_angle_alpha 90.00
_cell_angle_beta 90.00
_cell_angle_gamma 90.00
loop_
_atom_site_label
_atom_site_type_symbol
_atom_site_fract_x
_atom_site_fract_y
_atom_site_fract_z
Ca1 Ca 0.0000 0.0000 0.0000
Ca2 Ca 0.0000 0.0000 0.1043
Ca3 Ca 0.0000 0.0000 0.2046
Sn1 Sn 0.0000 0.0000 0.3230
Sn2 Sn 0.0000 0.0000 0.4419
S1 S 0.0000 0.0000 0.2678
S2 S 0.0000 0.0000 0.3850
S3 S 0.0000 0.0000 0.5000
S4 S 0.0000 0.5000 0.0567
S5 S 0.0000 0.5000 0.1645
```

Diffraction record for Na4Eu2P4Pb. The X-ray diffraction stick pattern is simulated, not measured: it uses a PBE-relaxed structure and Cu Kα (weighted mean of Kα1 and Kα2).
Intensities are scaled so that the largest is 100.

Principal peaks in the range 2θ = 10–90°, by angle:
- 8.352 Å, 2θ 10.6, I 100
- 5.560 Å, 2θ 15.9, I 35
- 3.158 Å, 2θ 28.3, I 19
- 2.928 Å, 2θ 30.5, I 16
- 2.920 Å, 2θ 30.6, I 14
- 2.882 Å, 2θ 31.0, I 25
- 2.857 Å, 2θ 31.3, I 16
- 2.740 Å, 2θ 32.7, I 14
- 2.699 Å, 2θ 33.2, I 18
- 2.412 Å, 2θ 37.3, I 42

Atomic structure:
```
data_Na4Eu2P4Pb
_space_group_name_H-M_alt 'C 1 c 1'
_space_group_IT_number 9
_space_group_name_Hall 'C -2yc'
_cell_length_a 9.6454
_cell_length_b 16.7219
_cell_length_c 7.2605
_cell_angle_alpha 90.00
_cell_angle_beta 91.97
_cell_angle_gamma 90.00
loop_
_atom_site_label
_atom_site_type_symbol
_atom_site_fract_x
_atom_site_fract_y
_atom_site_fract_z
Na1 Na 0.0000 0.0713 0.0000
Na2 Na 0.1993 0.1418 0.4797
Na3 Na 0.4026 0.2693 0.8127
Na4 Na 0.4183 0.0762 0.9669
Eu1 Eu 0.0002 0.2626 0.8064
Eu2 Eu 0.2153 0.4733 0.8143
P1 P 0.2019 0.3384 0.5619
P2 P 0.2113 0.1849 0.0763
P3 P 0.4268 0.4092 0.0975
P4 P 0.4867 0.0891 0.5495
Pb1 Pb 0.1961 0.3314 0.1970
```

Diffraction record for Rh3W. The X-ray diffraction stick pattern is simulated, not measured: it uses a PBE-relaxed structure and Cu Kα (weighted mean of Kα1 and Kα2).
Intensities are scaled so that the largest is 100.

Principal peaks in the range 2θ = 10–90°, by angle:
- 8.829 Å, 2θ 10.0, I 18
- 2.408 Å, 2θ 37.3, I 26
- 2.323 Å, 2θ 38.8, I 4
- 2.207 Å, 2θ 40.9, I 25
- 2.114 Å, 2θ 42.8, I 100
- 1.627 Å, 2θ 56.6, I 15
- 1.390 Å, 2θ 67.4, I 17
- 1.256 Å, 2θ 75.8, I 18
- 1.176 Å, 2θ 81.9, I 20
- 1.162 Å, 2θ 83.2, I 14

Atomic structure:
```
data_Rh3W
_space_group_name_H-M_alt 'P -6 m 2'
_space_group_IT_number 187
_space_group_name_Hall 'P -6 2'
_cell_length_a 2.7805
_cell_length_b 2.7805
_cell_length_c 8.8292
_cell_angle_alpha 90.00
_cell_angle_beta 90.00
_cell_angle_gamma 120.00
loop_
_atom_site_label
_atom_site_type_symbol
_atom_site_fract_x
_atom_site_fract_y
_atom_site_fract_z
Rh1 Rh 0.0000 0.0000 0.0000
Rh2 Rh 0.3333 0.6667 0.2550
W1 W 0.0000 0.0000 0.5000
```

Diffraction record for CaAg4Ru4O12. The X-ray diffraction stick pattern is simulated, not measured: it uses a PBE-relaxed structure and Cu Kα (weighted mean of Kα1 and Kα2).
Intensities are scaled so that the largest is 100.

Principal peaks in the range 2θ = 10–90°, by angle:
- 5.260 Å, 2θ 16.9, I 56
- 3.154 Å, 2θ 28.3, I 60
- 3.141 Å, 2θ 28.4, I 48
- 3.025 Å, 2θ 29.5, I 99
- 2.976 Å, 2θ 30.0, I 100
- 2.583 Å, 2θ 34.7, I 55
- 2.400 Å, 2θ 37.5, I 38
- 2.345 Å, 2θ 38.4, I 34
- 1.843 Å, 2θ 49.5, I 34
- 1.570 Å, 2θ 58.8, I 33

Atomic structure:
```
data_CaAg4Ru4O12
_space_group_name_H-M_alt 'I m m 2'
_space_group_IT_number 44
_space_group_name_Hall 'I 2 -2'
_cell_length_a 7.2173
_cell_length_b 7.3956
_cell_length_c 10.5209
_cell_angle_alpha 90.00
_cell_angle_beta 90.00
_cell_angle_gamma 90.00
loop_
_atom_site_label
_atom_site_type_symbol
_atom_site_fract_x
_atom_site_fract_y
_atom_site_fract_z
Ca1 Ca 0.0000 0.0000 0.0000
Ag1 Ag 0.0000 0.3220 0.8433
Ag2 Ag 0.1958 0.0000 0.2512
Ru1 Ru 0.0000 0.2548 0.4982
Ru2 Ru 0.2418 0.5000 0.2306
O1 O 0.0000 0.0000 0.4308
O2 O 0.0000 0.0000 0.7950
O3 O 0.0000 0.5000 0.1910
O4 O 0.0000 0.5000 0.5607
O5 O 0.1989 0.2003 0.6166
O6 O 0.2079 0.3113 0.3721
```

Diffraction record for K2SnBr6. The X-ray diffraction stick pattern is simulated, not measured: it uses a PBE-relaxed structure and Cu Kα (weighted mean of Kα1 and Kα2).
Intensities are scaled so that the largest is 100.

Principal peaks in the range 2θ = 10–90°, by angle:
- 6.266 Å, 2θ 14.1, I 100
- 5.428 Å, 2θ 16.3, I 79
- 3.276 Å, 2θ 27.2, I 51
- 3.137 Å, 2θ 28.5, I 95
- 3.124 Å, 2θ 28.6, I 29
- 2.722 Å, 2θ 32.9, I 58
- 2.709 Å, 2θ 33.1, I 97
- 2.427 Å, 2θ 37.0, I 26
- 1.922 Å, 2θ 47.3, I 42
- 1.918 Å, 2θ 47.4, I 29

Atomic structure:
```
data_K2SnBr6
_space_group_name_H-M_alt 'P 1 21/c 1'
_space_group_IT_number 14
_space_group_name_Hall '-P 2ybc'
_cell_length_a 7.6455
_cell_length_b 7.6806
_cell_length_c 13.2873
_cell_angle_alpha 90.00
_cell_angle_beta 124.97
_cell_angle_gamma 90.00
loop_
_atom_site_label
_atom_site_type_symbol
_atom_site_fract_x
_atom_site_fract_y
_atom_site_fract_z
K1 K 0.2425 0.0379 0.2492
Sn1 Sn 0.5000 0.0000 0.0000
Br1 Br 0.1933 0.2029 0.9717
Br2 Br 0.2753 0.7200 0.9764
Br3 Br 0.3113 0.0041 0.7592
```

What did the second record say?
Diffraction record for Na4Eu2P4Pb. The X-ray diffraction stick pattern is simulated, not measured: it uses a PBE-relaxed structure and Cu Kα (weighted mean of Kα1 and Kα2).
Intensities are scaled so that the largest is 100.

Principal peaks in the range 2θ = 10–90°, by angle:
- 8.352 Å, 2θ 10.6, I 100
- 5.560 Å, 2θ 15.9, I 35
- 3.158 Å, 2θ 28.3, I 19
- 2.928 Å, 2θ 30.5, I 16
- 2.920 Å, 2θ 30.6, I 14
- 2.882 Å, 2θ 31.0, I 25
- 2.857 Å, 2θ 31.3, I 16
- 2.740 Å, 2θ 32.7, I 14
- 2.699 Å, 2θ 33.2, I 18
- 2.412 Å, 2θ 37.3, I 42

Atomic structure:
```
data_Na4Eu2P4Pb
_space_group_name_H-M_alt 'C 1 c 1'
_space_group_IT_number 9
_space_group_name_Hall 'C -2yc'
_cell_length_a 9.6454
_cell_length_b 16.7219
_cell_length_c 7.2605
_cell_angle_alpha 90.00
_cell_angle_beta 91.97
_cell_angle_gamma 90.00
loop_
_atom_site_label
_atom_site_type_symbol
_atom_site_fract_x
_atom_site_fract_y
_atom_site_fract_z
Na1 Na 0.0000 0.0713 0.0000
Na2 Na 0.1993 0.1418 0.4797
Na3 Na 0.4026 0.2693 0.8127
Na4 Na 0.4183 0.0762 0.9669
Eu1 Eu 0.0002 0.2626 0.8064
Eu2 Eu 0.2153 0.4733 0.8143
P1 P 0.2019 0.3384 0.5619
P2 P 0.2113 0.1849 0.0763
P3 P 0.4268 0.4092 0.0975
P4 P 0.4867 0.0891 0.5495
Pb1 Pb 0.1961 0.3314 0.1970
```

Number 3 is which compound?
Rh3W